Rb2DyV2O6: calculated X-ray powder pattern (Cu Kα (weighted mean of Kα1 and Kα2)), based on DFT lattice parameters and positions (GGA+U).
Lines closer than 0.1° are merged.

Most intense lines, 2θ from 5° to 70°, most intense first:
d/Å  I/Imax  h k l
3.031  100  0 1 5
3.087  97  1 1 0
1.771  39  1 2 5
2.163  32  2 0 5
3.487  27  1 0 4
2.311  26  0 2 4
5.134  24  1 0 1
1.704  23  1 1 9

```
data_Rb2DyV2O6
_chemical_formula_sum 'Rb6 Dy3 V6 O18'
_space_group_name_H-M_alt 'R -3 m'
_space_group_IT_number 166
_space_group_name_Hall '-R 3 2"'
_cell_length_a 6.1738
_cell_length_b 6.1738
_cell_length_c 18.3952
_cell_angle_alpha 90.00
_cell_angle_beta 90.00
_cell_angle_gamma 120.00
loop_
_atom_site_label
_atom_site_fract_x
_atom_site_fract_y
_atom_site_fract_z
Rb1 0.0000 0.0000 0.2129
Dy1 0.0000 0.0000 0.0000
V1 0.0000 0.0000 0.4185
O1 0.0060 0.5030 0.2581
```